Entry 1:
This entry pairs a crystal structure of SmGeRu with its theoretical XRD peak list. Radiation: Cu Kα (λ = 1.5418 Å). Structure: DFT lattice parameters and positions (GGA-PBE).
Peak positions follow from Bragg's law for the DFT cell and can differ from measured ones.

Crystal structure
```
data_SmGeRu
_space_group_name_H-M_alt 'P 4/n m m'
_space_group_IT_number 129
_cell_length_a 4.319
_cell_length_b 4.319
_cell_length_c 6.780
_cell_angle_alpha 90.00
_cell_angle_beta 90.00
_cell_angle_gamma 90.00
loop_
_space_group_symop_operation_xyz
'x,y,z'
'-x,-y,-z'
'-y+1/2,x,z'
'y+1/2,-x,-z'
'-x+1/2,-y+1/2,z'
'x+1/2,y+1/2,-z'
'y,-x+1/2,z'
'-y,x+1/2,-z'
'x+1/2,-y,-z'
'-x+1/2,y,z'
'-y,-x,-z'
'y,x,z'
'-x,y+1/2,-z'
'x,-y+1/2,z'
'y+1/2,x+1/2,-z'
'-y+1/2,-x+1/2,z'
loop_
_atom_site_label
_atom_site_type_symbol
_atom_site_fract_x
_atom_site_fract_y
_atom_site_fract_z
Sm1 Sm 0.250 0.250 0.188
Ge1 Ge 0.250 0.250 0.699
Ru1 Ru 0.250 0.750 0.500
```

Top 10 peaks for 2θ = 10–90°, in order of rising 2θ:
13.06 deg, I = 28, hkl 0 0 1; 24.44 deg, I = 22, hkl 1 0 1; 29.24 deg, I = 23, hkl 1 1 0; 32.14 deg, I = 45, hkl 1 1 1; 33.61 deg, I = 49, hkl 1 0 2; 39.72 deg, I = 100, hkl 1 1 2; 41.83 deg, I = 64, hkl 2 0 0; 54.69 deg, I = 24, hkl 2 1 2; 58.49 deg, I = 22, hkl 1 0 4; 74.96 deg, I = 30, hkl 3 1 2

Entry 2:
This entry pairs a crystal structure of Ge5F12 with its theoretical XRD peak list. Radiation: Cu Kα (λ = 1.5418 Å). Structure: DFT lattice parameters and positions (GGA-PBE).
Peak positions follow from Bragg's law for the DFT cell and can differ from measured ones.

Crystal structure
```
data_Ge5F12
_space_group_name_H-M_alt 'P 1 21/c 1'
_space_group_IT_number 14
_space_group_name_Hall '-P 2ybc'
_cell_length_a 8.680
_cell_length_b 7.834
_cell_length_c 8.250
_cell_angle_alpha 90.00
_cell_angle_beta 93.05
_cell_angle_gamma 90.00
loop_
_atom_site_label
_atom_site_type_symbol
_atom_site_fract_x
_atom_site_fract_y
_atom_site_fract_z
Ge1 Ge 0.000 0.000 0.000
Ge2 Ge 0.208 0.054 0.633
Ge3 Ge 0.390 0.625 0.691
F1 F 0.041 0.153 0.157
F2 F 0.142 0.648 0.599
F3 F 0.158 0.096 0.883
F4 F 0.325 0.562 0.892
F5 F 0.348 0.630 0.237
F6 F 0.377 0.199 0.669
```

Top 10 peaks for 2θ = 10–90°, in order of rising 2θ:
19.00 deg, I = 29, hkl 1 1 1; 22.70 deg, I = 17, hkl 0 2 0; 23.42 deg, I = 100, hkl 1 0 -2; 25.18 deg, I = 44, hkl 0 2 1; 26.33 deg, I = 73, hkl 2 1 1; 27.00 deg, I = 25, hkl 1 2 -1; 34.31 deg, I = 24, hkl 3 1 -1; 40.32 deg, I = 18, hkl 2 3 0; 44.61 deg, I = 13, hkl 2 2 -3; 53.76 deg, I = 13, hkl 4 1 -3

Entry 3:
This entry pairs a crystal structure of Sr2Re6S11 with its theoretical XRD peak list. Radiation: Cu Kα (λ = 1.5418 Å). Structure: DFT lattice parameters and positions (GGA-PBE).
Peak positions follow from Bragg's law for the DFT cell and can differ from measured ones.

Crystal structure
```
data_Sr2Re6S11
_space_group_name_H-M_alt 'R -3 c'
_space_group_IT_number 167
_space_group_name_Hall '-R 3 2"c'
_cell_length_a 9.1582
_cell_length_b 9.1582
_cell_length_c 31.9497
_cell_angle_alpha 90.00
_cell_angle_beta 90.00
_cell_angle_gamma 120.00
loop_
_atom_site_label
_atom_site_type_symbol
_atom_site_fract_x
_atom_site_fract_y
_atom_site_fract_z
Sr1 Sr 0.0000 0.0000 0.1894
Re1 Re 0.0279 0.1785 0.4658
S1 S 0.0000 0.0000 0.0921
S2 S 0.0000 0.2535 0.7500
S3 S 0.0040 0.3889 0.1970
```

Top 10 peaks for 2θ = 10–90°, in order of rising 2θ:
12.46 deg, I = 100, hkl 0 1 2; 15.75 deg, I = 48, hkl 1 0 4; 30.34 deg, I = 18, hkl 1 2 2; 33.01 deg, I = 14, hkl 1 2 5; 35.84 deg, I = 18, hkl 2 1 7; 40.29 deg, I = 13, hkl 2 2 3; 41.15 deg, I = 19, hkl 0 1 14; 41.30 deg, I = 11, hkl 2 1 10; 45.79 deg, I = 12, hkl 1 3 7; 47.23 deg, I = 24, hkl 2 2 9

Entry 4:
This entry pairs a crystal structure of Ga3Pb with its theoretical XRD peak list. Radiation: Cu Kα (λ = 1.5418 Å). Structure: DFT lattice parameters and positions (GGA-PBE).
Peak positions follow from Bragg's law for the DFT cell and can differ from measured ones.

Crystal structure
```
data_Ga3Pb
_space_group_name_H-M_alt 'P m -3 m'
_space_group_IT_number 221
_space_group_name_Hall '-P 4 2 3'
_cell_length_a 4.526
_cell_length_b 4.526
_cell_length_c 4.526
_cell_angle_alpha 90.00
_cell_angle_beta 90.00
_cell_angle_gamma 90.00
loop_
_atom_site_label
_atom_site_type_symbol
_atom_site_fract_x
_atom_site_fract_y
_atom_site_fract_z
Ga1 Ga 0.000 0.000 0.500
Pb1 Pb 0.500 0.500 0.500
```

Top 10 peaks for 2θ = 10–90°, in order of rising 2θ:
19.61 deg, I = 27, hkl 1 0 0; 27.88 deg, I = 24, hkl 1 1 0; 34.31 deg, I = 100, hkl 1 1 1; 39.83 deg, I = 50, hkl 2 0 0; 44.77 deg, I = 14, hkl 2 1 0; 49.31 deg, I = 11, hkl 2 1 1; 57.60 deg, I = 34, hkl 2 2 0; 61.45 deg, I = 7, hkl 3 0 0; 68.79 deg, I = 39, hkl 3 1 1; 72.31 deg, I = 11, hkl 2 2 2